# 1
The following is a calculated powder diffractogram of MgMoH2O5. It was derived from a cell relaxed with PBE+U, using Cu Kα, 1.54184 Å.

Main lines, low angle first (5° ≤ 2θ ≤ 70°):
2theta  intensity  hkl
16.1  60  0 1 0
19.1  100  1 -1 0
19.3  63  1 0 -1
26.1  98  0 0 2
26.6  52  1 1 -1
31.8  58  2 -1 0

abc: 5.758 5.892 7.015
angles: 100.45 94.67 106.53
Space group P-1 (No. 2)
One atom of each set of equivalent atoms:
Mg: 0.139 0.207 0.195 [2 per cell]
Mo: 0.245 0.379 0.746 [2 per cell]
H: 0.370 0.850 0.200 [2 per cell]
H: 0.430 0.907 0.811 [2 per cell]
O: 0.122 0.140 0.878 [2 per cell]
O: 0.141 0.266 0.494 [2 per cell]
O: 0.143 0.637 0.826 [2 per cell]
O: 0.403 0.026 0.219 [2 per cell]
O: 0.425 0.529 0.213 [2 per cell]


# 2
The following is a calculated powder diffractogram of NaNi4F10. It was derived from a cell relaxed with PBE+U, using Cu Kα, 1.54184 Å.

Main lines, low angle first (5° ≤ 2θ ≤ 70°):
2theta  intensity  hkl
10.6  100  0 1 0
17.1  31  0 1 1
24.8  77  1 1 0
27.0  61  0 0 2
34.9  30  0 3 1
45.5  41  2 0 0

abc: 3.984 8.362 6.602
angles: 90.00 90.57 90.00
Space group P2 (No. 3)
One atom of each set of equivalent atoms:
Na: 0.000 0.000 0.000 [1 per cell]
Ni: 0.000 0.212 0.500 [1 per cell]
Ni: 0.000 0.390 0.000 [1 per cell]
Ni: 0.500 0.513 0.500 [1 per cell]
Ni: 0.500 0.676 0.000 [1 per cell]
F: 0.000 0.465 0.500 [1 per cell]
F: 0.000 0.630 0.000 [1 per cell]
F: 0.000 0.994 0.500 [1 per cell]
F: 0.013 0.222 0.799 [2 per cell]
F: 0.487 0.669 0.710 [2 per cell]
F: 0.500 0.273 0.500 [1 per cell]
F: 0.500 0.430 0.000 [1 per cell]
F: 0.500 0.901 0.000 [1 per cell]